(1)
Simulated powder diffractogram
Compound: P2PbXe3F18
Radiation: Cu Kα, 1.54184 Å
Structure: a DFT-relaxed cell (PBE, the Materials Project)
Intensities are scaled so that the largest is 100.

Cell and atoms:
a b c (Å): 8.809 8.809 11.242
angles (deg): 96.31 96.31 89.14
Sites, in units of the cell vectors:
P: 0.000 0.500 0.500
P: 0.199 0.199 0.094
P: 0.500 0.000 0.500
P: 0.801 0.801 0.906
Pb: 0.285 0.285 0.779
Pb: 0.715 0.715 0.221
Xe: 0.000 0.000 0.500
Xe: 0.206 0.681 0.164
Xe: 0.319 0.794 0.836
Xe: 0.500 0.500 0.500
Xe: 0.681 0.206 0.164
Xe: 0.794 0.319 0.836
F: 0.019 0.364 0.812
F: 0.029 0.628 0.615
F: 0.069 0.333 0.091
F: 0.086 0.086 0.674
F: 0.101 0.101 0.171
F: 0.117 0.117 0.966
F: 0.128 0.582 0.434
F: 0.135 0.390 0.562
F: 0.280 0.568 0.867
F: 0.289 0.289 0.215
F: 0.304 0.304 0.011
F: 0.333 0.069 0.091
F: 0.364 0.019 0.812
F: 0.372 0.971 0.385
F: 0.390 0.135 0.562
F: 0.418 0.872 0.566
F: 0.432 0.720 0.133
F: 0.460 0.460 0.674
F: 0.540 0.540 0.326
F: 0.568 0.280 0.867
F: 0.582 0.128 0.434
F: 0.610 0.865 0.438
F: 0.628 0.029 0.615
F: 0.636 0.981 0.188
F: 0.667 0.931 0.909
F: 0.696 0.696 0.989
F: 0.711 0.711 0.785
F: 0.720 0.432 0.133
F: 0.865 0.610 0.438
F: 0.872 0.418 0.566
F: 0.883 0.883 0.034
F: 0.899 0.899 0.829
F: 0.914 0.914 0.326
F: 0.931 0.667 0.909
F: 0.971 0.372 0.385
F: 0.981 0.636 0.188

Main lines, in order of falling intensity (2θ = 10–80°):
2theta	I_rel
22.6	100
24.5	93
28.9	42
24.0	39
12.2	29
13.5	26
35.4	17
25.1	17



(2)
Simulated powder diffractogram
Compound: Ce4In21Pd10
Radiation: Cu Kα, 1.54184 Å
Structure: a DFT-relaxed cell (PBE, the Materials Project)
Intensities are scaled so that the largest is 100.

Cell and atoms:
a b c (Å): 12.042 12.042 17.591
angles (deg): 123.98 123.98 21.20
Sites, in units of the cell vectors:
Ce: 0.122 0.122 0.333
Ce: 0.229 0.229 0.825
Ce: 0.771 0.771 0.175
Ce: 0.878 0.878 0.667
In: 0.010 0.010 0.092
In: 0.065 0.065 0.798
In: 0.116 0.116 0.553
In: 0.202 0.202 0.007
In: 0.251 0.251 0.293
In: 0.299 0.299 0.501
In: 0.369 0.369 0.799
In: 0.384 0.384 0.295
In: 0.398 0.398 0.004
In: 0.458 0.458 0.632
In: 0.500 0.500 0.500
In: 0.542 0.542 0.368
In: 0.602 0.602 0.996
In: 0.616 0.616 0.705
In: 0.631 0.631 0.201
In: 0.701 0.701 0.499
In: 0.749 0.749 0.707
In: 0.798 0.798 0.993
In: 0.884 0.884 0.447
In: 0.935 0.935 0.202
In: 0.990 0.990 0.908
Pd: 0.024 0.024 0.611
Pd: 0.136 0.136 0.107
Pd: 0.249 0.249 0.614
Pd: 0.346 0.346 0.113
Pd: 0.495 0.495 0.813
Pd: 0.505 0.505 0.187
Pd: 0.654 0.654 0.887
Pd: 0.751 0.751 0.386
Pd: 0.864 0.864 0.893
Pd: 0.976 0.976 0.389

Main lines, in order of falling intensity (2θ = 10–80°):
2theta	I_rel
40.7	100
33.9	86
34.3	78
33.8	77
33.0	57
40.5	56
65.1	36
42.2	34



(3)
Simulated powder diffractogram
Compound: PIr2
Radiation: Cu Kα, 1.54184 Å
Structure: a DFT-relaxed cell (PBE, the Materials Project)
Intensities are scaled so that the largest is 100.

Cell and atoms:
a b c (Å): 3.957 3.957 3.957
angles (deg): 60.00 60.00 60.00
Sites, in units of the cell vectors:
P: 0.000 0.000 0.000
Ir: 0.250 0.250 0.250
Ir: 0.750 0.750 0.750

Main lines, in order of falling intensity (2θ = 10–80°):
2theta	I_rel
45.9	100
32.0	97
76.1	34
57.0	26
66.9	16
27.6	2
54.4	1



(4)
Simulated powder diffractogram
Compound: GeO2
Radiation: Cu Kα, 1.54184 Å
Structure: a DFT-relaxed cell (PBE, the Materials Project)
Intensities are scaled so that the largest is 100.

Cell and atoms:
a b c (Å): 4.766 4.766 4.766
angles (deg): 90.00 90.00 90.00
Sites, in units of the cell vectors:
Ge: 0.000 0.000 0.000
Ge: 0.000 0.500 0.500
Ge: 0.500 0.000 0.500
Ge: 0.500 0.500 0.000
O: 0.157 0.657 0.843
O: 0.157 0.843 0.343
O: 0.343 0.157 0.843
O: 0.343 0.343 0.343
O: 0.657 0.657 0.657
O: 0.657 0.843 0.157
O: 0.843 0.157 0.657
O: 0.843 0.343 0.157

Main lines, in order of falling intensity (2θ = 10–80°):
2theta	I_rel
32.5	100
64.9	56
54.5	44
37.7	40
68.2	13
42.4	9
46.7	4
74.5	2



(5)
Simulated powder diffractogram
Compound: EuTiO3
Radiation: Cu Kα, 1.54184 Å
Structure: a DFT-relaxed cell (PBE, the Materials Project)
Intensities are scaled so that the largest is 100.

Cell and atoms:
a b c (Å): 3.961 3.961 3.961
angles (deg): 90.00 90.00 90.00
Sites, in units of the cell vectors:
Eu: 0.000 0.000 0.000
Ti: 0.500 0.500 0.500
O: 0.000 0.500 0.500
O: 0.500 0.000 0.500
O: 0.500 0.500 0.000

Main lines, in order of falling intensity (2θ = 10–80°):
2theta	I_rel
32.0	100
56.9	38
45.8	33
39.4	27
22.4	26
66.8	19
76.0	17
51.6	13